For Y3BeCrS7, a structure optimized by DFT (PBE) gives the calculated X-ray powder pattern in this record (Cu Kα (weighted mean of Kα1 and Kα2)).
Peak positions follow from Bragg's law for the DFT cell and can differ from measured ones.

Largest 10 diffraction maxima, by angle, 10° ≤ 2θ ≤ 80°:
| index | 2θ (°) | I (rel.) |
| --- | --- | --- |
| 1 0 1 | 18.23 | 78 |
| 1 1 1 | 23.75 | 45 |
| 2 0 1 | 26.09 | 76 |
| 2 1 0 | 28.44 | 65 |
| 1 2 1 | 32.18 | 62 |
| 1 1 2 | 35.27 | 42 |
| 3 0 1 | 35.72 | 100 |
| 2 0 2 | 36.94 | 69 |
| 2 1 2 | 41.62 | 69 |
| 1 3 1 | 42.02 | 56 |

Atomic structure:
```
Y3BeCrS7
1.0
9.589 0.000 0.000
-4.794 8.304 0.000
0.000 0.000 6.006
Y Be Cr S
6 2 2 14
Cartesian
-2.200 6.270 0.000
0.465 3.264 0.000
3.059 1.229 3.003
1.736 7.075 0.000
4.330 5.040 3.003
6.995 2.034 3.003
0.000 5.536 3.502
4.794 2.768 0.499
0.000 0.000 1.176
0.000 0.000 4.179
-3.283 7.154 2.635
-1.507 4.319 4.322
0.240 1.884 2.635
1.752 0.734 5.638
0.000 5.536 1.401
-0.300 7.450 4.322
1.808 4.839 4.322
2.987 3.465 1.318
5.095 0.854 1.318
4.794 2.768 4.404
3.043 7.570 2.635
4.554 6.420 5.638
6.302 3.985 1.318
8.077 1.150 5.638
```